Diffraction record for Ac3Sb4Rh4. The X-ray powder pattern is theoretical, not measured: it uses the GGA-PBE geometry in Alexandria and a wavelength of 1.5418 Å.
Intensities are scaled so that the largest is 100.

Crystal structure
a = 13.4973 Å, b = 13.4973 Å, c = 13.4973 Å
α = 160.47°, β = 160.12°, γ = 28.01°
Fractional positions:
Ac 0.0000 0.0000 0.0000
Ac 0.3552 0.8552 0.5000
Ac 0.6448 0.1448 0.5000
Sb 0.0983 0.5983 0.5000
Sb 0.2508 0.2508 0.0000
Sb 0.7492 0.7492 0.0000
Sb 0.9017 0.4017 0.5000
Rh 0.1997 0.6997 0.5000
Rh 0.4496 0.4496 0.0000
Rh 0.5504 0.5504 0.0000
Rh 0.8003 0.3003 0.5000

Main lines, sorted by position (2θ = 5–70°):
Position (°2θ), d (Å), Rel. int.
30.6, 2.922, 100
30.9, 2.897, 48
36.4, 2.468, 18
38.7, 2.330, 29
39.4, 2.290, 28
42.6, 2.120, 21
50.3, 1.815, 28
56.3, 1.633, 21

Diffraction record for KNa2Cl2. The X-ray powder pattern is theoretical, not measured: it uses the GGA-PBE geometry in Alexandria and a wavelength of 1.5418 Å.
Intensities are scaled so that the largest is 100.

Crystal structure
a = 5.2551 Å, b = 5.2551 Å, c = 12.3765 Å
α = 90.00°, β = 90.00°, γ = 90.00°
Fractional positions:
K 0.0000 0.0000 0.0000
K 0.5000 0.5000 0.5000
Na 0.0000 0.0000 0.3221
Na 0.0000 0.0000 0.6779
Na 0.5000 0.5000 0.1779
Na 0.5000 0.5000 0.8221
Cl 0.0000 0.5000 0.2500
Cl 0.0000 0.5000 0.7500
Cl 0.5000 0.0000 0.2500
Cl 0.5000 0.0000 0.7500

Main lines, sorted by position (2θ = 5–70°):
Position (°2θ), d (Å), Rel. int.
14.3, 6.188, 64
27.5, 3.245, 100
28.0, 3.186, 85
28.9, 3.094, 29
34.1, 2.628, 91
44.4, 2.042, 49
49.0, 1.858, 29
50.6, 1.804, 49

Diffraction record for PmCdO. The X-ray powder pattern is theoretical, not measured: it uses the GGA-PBE geometry in Alexandria and a wavelength of 1.5418 Å.
Intensities are scaled so that the largest is 100.

Crystal structure
a = 4.0198 Å, b = 4.0198 Å, c = 8.2139 Å
α = 90.00°, β = 90.00°, γ = 90.00°
Fractional positions:
Pm 0.2500 0.2500 0.1392
Pm 0.7500 0.7500 0.8608
Cd 0.2500 0.2500 0.5775
Cd 0.7500 0.7500 0.4225
O 0.2500 0.7500 0.0000
O 0.7500 0.2500 0.0000

Main lines, sorted by position (2θ = 5–70°):
Position (°2θ), d (Å), Rel. int.
24.7, 3.611, 11
31.1, 2.873, 100
31.5, 2.842, 51
45.1, 2.010, 24
46.0, 1.972, 14
55.2, 1.665, 13
55.8, 1.647, 37
60.9, 1.521, 11